Ba6LiNb2IrCl2O12: computed powder diffractogram (Cu Kα (λ = 1.5418 Å)), based on a GGA-PBE-relaxed structure.
No peak broadening, texture or thermal motion is included.

Peak list (10 most intense, 5 to 70 degrees two-theta, low angle first)
| 2θ (°) | intensity |
| --- | --- |
| 5.69 | 1000 |
| 18.13 | 254 |
| 24.36 | 267 |
| 28.77 | 290 |
| 30.02 | 652 |
| 38.99 | 274 |
| 42.05 | 244 |
| 49.96 | 148 |
| 53.30 | 129 |
| 62.40 | 144 |

Atomic structure:
```
Ba6LiNb2IrCl2O12
1.0
5.954 0.000 0.000
-2.977 5.156 0.000
0.000 0.000 15.533
Ba Li Nb Ir Cl O
6 1 2 1 2 12
direct
0.000 0.000 0.000 Ba
0.000 0.000 0.256 Ba
0.000 0.000 0.598 Ba
0.667 0.333 0.153 Ba
0.667 0.333 0.430 Ba
0.667 0.333 0.729 Ba
0.000 0.000 0.429 Li
0.333 0.667 0.183 Nb
0.333 0.667 0.549 Nb
0.333 0.667 0.366 Ir
0.000 0.000 0.794 Cl
0.667 0.333 0.945 Cl
0.011 0.506 0.611 O
0.028 0.514 0.278 O
0.169 0.338 0.122 O
0.169 0.831 0.122 O
0.176 0.351 0.454 O
0.176 0.824 0.454 O
0.486 0.514 0.278 O
0.486 0.972 0.278 O
0.494 0.506 0.611 O
0.494 0.989 0.611 O
0.649 0.824 0.454 O
0.662 0.831 0.122 O
```



LiFeRu2: computed powder diffractogram (Cu Kα (λ = 1.5418 Å)), based on a GGA-PBE-relaxed structure.
No peak broadening, texture or thermal motion is included.

Peak list (10 most intense, 5 to 70 degrees two-theta, low angle first)
| 2θ (°) | intensity |
| --- | --- |
| 17.36 | 743 |
| 23.23 | 95 |
| 29.14 | 406 |
| 38.06 | 196 |
| 41.25 | 1000 |
| 42.54 | 902 |
| 45.06 | 251 |
| 47.49 | 329 |
| 49.40 | 577 |
| 62.41 | 90 |

Atomic structure:
```
LiFeRu2
1.0
2.667 0.000 0.000
0.000 3.829 0.000
0.000 0.000 5.109
Li Fe Ru
1 1 2
direct
0.000 0.000 0.000 Li
0.500 0.500 0.772 Fe
0.000 0.000 0.499 Ru
0.500 0.500 0.264 Ru
```



ZrPa2WN6: computed powder diffractogram (Cu Kα (λ = 1.5418 Å)), based on a GGA-PBE-relaxed structure.
No peak broadening, texture or thermal motion is included.

Peak list (10 most intense, 5 to 70 degrees two-theta, low angle first)
| 2θ (°) | intensity |
| --- | --- |
| 21.87 | 251 |
| 30.86 | 964 |
| 31.38 | 1000 |
| 44.59 | 393 |
| 49.85 | 244 |
| 54.56 | 131 |
| 55.54 | 397 |
| 55.86 | 251 |
| 65.49 | 133 |
| 68.22 | 89 |

Atomic structure:
```
ZrPa2WN6
1.0
2.851 1.646 4.771
-2.851 1.646 4.771
0.000 -3.292 4.771
Zr Pa W N
1 2 1 6
direct
0.000 0.000 0.000 Zr
0.277 0.277 0.277 Pa
0.775 0.775 0.775 Pa
0.493 0.493 0.493 W
0.122 0.694 0.368 N
0.218 0.616 0.840 N
0.368 0.122 0.694 N
0.616 0.840 0.218 N
0.694 0.368 0.122 N
0.840 0.218 0.616 N
```